1.
For Mg2GaMo3S8, the GGA-PBE geometry in the Materials Project gives the theoretical powder diffractogram in this record (Cu Kα, 1.54184 Å).
Lines closer than 0.1° are merged.

a = 7.413 Å, b = 7.413 Å, c = 7.425 Å
α = 119.96°, β = 119.96°, γ = 60.04°
Fractional positions:
Mg 0.124 0.124 0.373
Mg 0.876 0.876 0.627
Ga 0.500 0.500 0.500
Mo 0.000 0.500 0.000
Mo 0.500 0.000 0.000
Mo 0.500 0.500 0.000
S 0.260 0.260 0.781
S 0.261 0.261 0.237
S 0.261 0.716 0.237
S 0.284 0.739 0.763
S 0.716 0.261 0.237
S 0.739 0.284 0.763
S 0.739 0.739 0.763
S 0.740 0.740 0.219

Principal peaks in the range 10 to 80 degrees two-theta, sorted by position:
- 14.62°, I 100
- 28.21°, I 88
- 34.18°, I 96
- 37.35°, I 10
- 44.88°, I 43
- 49.12°, I 87
- 51.52°, I 17
- 61.23°, I 15
- 68.74°, I 11
- 72.00°, I 13

=====

2.
For Sr2Mg, the GGA-PBE geometry in the Materials Project gives the theoretical powder diffractogram in this record (Cu Kα, 1.54184 Å).
Lines closer than 0.1° are merged.

a = 7.544 Å, b = 7.544 Å, c = 6.097 Å
α = 90.00°, β = 90.00°, γ = 47.69°
Fractional positions:
Sr 0.104 0.610 0.750
Sr 0.390 0.896 0.750
Sr 0.610 0.104 0.250
Sr 0.896 0.390 0.250
Mg 0.265 0.735 0.250
Mg 0.735 0.265 0.750

Principal peaks in the range 10 to 80 degrees two-theta, sorted by position:
- 21.59°, I 40
- 25.82°, I 16
- 28.37°, I 100
- 29.29°, I 55
- 39.44°, I 21
- 41.90°, I 20
- 49.65°, I 11
- 50.93°, I 13
- 51.37°, I 37
- 67.99°, I 12

=====

3.
For NaLiTiAlP3O12, the GGA-PBE geometry in the Materials Project gives the theoretical powder diffractogram in this record (Cu Kα, 1.54184 Å).
Lines closer than 0.1° are merged.

a = 8.559 Å, b = 8.559 Å, c = 8.776 Å
α = 119.51°, β = 119.51°, γ = 59.75°
Fractional positions:
Na 0.243 0.243 0.253
Na 0.757 0.757 0.747
Li 0.498 0.100 0.998
Li 0.900 0.502 0.002
Ti 0.387 0.396 0.676
Ti 0.604 0.613 0.324
Al 0.099 0.102 0.808
Al 0.898 0.901 0.192
P 0.207 0.505 0.000
P 0.279 0.004 0.504
P 0.495 0.793 0.000
P 0.714 0.286 0.500
P 0.787 0.213 0.000
P 0.996 0.721 0.496
O 0.016 0.673 0.017
O 0.031 0.890 0.669
O 0.110 0.969 0.331
O 0.169 0.533 0.509
O 0.185 0.328 0.986
O 0.235 0.477 0.827
O 0.260 0.044 0.686
O 0.304 0.177 0.514
O 0.327 0.984 0.983
O 0.382 0.533 0.172
O 0.467 0.618 0.828
O 0.467 0.831 0.491
O 0.523 0.765 0.173
O 0.527 0.312 0.511
O 0.611 0.243 0.827
O 0.672 0.815 0.014
O 0.688 0.473 0.489
O 0.738 0.119 0.321
O 0.757 0.389 0.173
O 0.802 0.033 0.017
O 0.823 0.696 0.486
O 0.881 0.262 0.679
O 0.956 0.740 0.314
O 0.967 0.198 0.983

Principal peaks in the range 10 to 80 degrees two-theta, sorted by position:
- 14.49°, I 15
- 20.35°, I 14
- 20.78°, I 31
- 24.17°, I 100
- 24.24°, I 51
- 29.22°, I 27
- 32.22°, I 19
- 32.36°, I 28
- 32.50°, I 36
- 49.64°, I 13

=====

4.
For La2InCu2, the GGA-PBE geometry in the Materials Project gives the theoretical powder diffractogram in this record (Cu Kα, 1.54184 Å).
Lines closer than 0.1° are merged.

a = 7.868 Å, b = 7.868 Å, c = 3.960 Å
α = 90.00°, β = 90.00°, γ = 90.00°
Fractional positions:
La 0.179 0.321 0.000
La 0.321 0.821 0.000
La 0.679 0.179 0.000
La 0.821 0.679 0.000
In 0.000 0.000 0.500
In 0.500 0.500 0.500
Cu 0.117 0.617 0.500
Cu 0.383 0.117 0.500
Cu 0.617 0.883 0.500
Cu 0.883 0.383 0.500

Principal peaks in the range 10 to 80 degrees two-theta, sorted by position:
- 32.07°, I 66
- 32.18°, I 18
- 34.09°, I 100
- 36.10°, I 45
- 45.83°, I 19
- 47.65°, I 18
- 53.29°, I 17
- 54.65°, I 17
- 59.68°, I 20
- 64.85°, I 16

=====

5.
For TmCdNi4, the GGA-PBE geometry in the Materials Project gives the theoretical powder diffractogram in this record (Cu Kα, 1.54184 Å).
Lines closer than 0.1° are merged.

a = 4.936 Å, b = 4.936 Å, c = 4.936 Å
α = 60.00°, β = 60.00°, γ = 60.00°
Fractional positions:
Tm 0.000 0.000 0.000
Cd 0.750 0.750 0.750
Ni 0.376 0.376 0.376
Ni 0.376 0.376 0.873
Ni 0.376 0.873 0.376
Ni 0.873 0.376 0.376

Principal peaks in the range 10 to 80 degrees two-theta, sorted by position:
- 22.06°, I 10
- 25.52°, I 3
- 36.40°, I 58
- 42.97°, I 100
- 44.99°, I 18
- 57.55°, I 3
- 59.19°, I 1
- 65.51°, I 20
- 70.04°, I 30
- 77.32°, I 22